(1)
Diffraction record for Ag2TePSe4. The X-ray diffraction stick pattern is theoretical, not measured: it uses a DFT-relaxed cell (PBE, Alexandria) and CuKα.

a b c (Å): 5.1988 6.4380 7.2408
angles (deg): 74.60 69.54 83.13
Space group P1 (No. 1)
Inequivalent atoms, fractional coordinates:
Ag  0.0000  0.0000  0.0000 (multiplicity 1)
Ag  0.2146  0.6453  0.5032 (multiplicity 1)
Te  0.5861  0.4560  0.0563 (multiplicity 1)
P  0.7184  0.1534  0.5406 (multiplicity 1)
Se  0.0932  0.5924  0.1939 (multiplicity 1)
Se  0.3434  0.2991  0.7497 (multiplicity 1)
Se  0.5505  0.0427  0.3221 (multiplicity 1)
Se  0.8228  0.8448  0.7489 (multiplicity 1)

Peak list (10 most intense, 2θ from 10° to 80°, by angle)
d [Å]	2θ/deg	I_rel	h k l
4.197	21.2	27	1 1 1
3.887	22.9	70	1 1 0
3.445	25.9	45	1 -1 1
3.271	27.3	100	1 1 2
3.129	28.5	92	-1 1 1
2.578	34.8	89	0 2 -1
2.117	42.7	31	1 1 -2
2.070	43.7	35	2 0 -1
2.038	44.5	26	0 2 3
1.997	45.4	27	1 -1 3

=====

(2)
Diffraction record for Tl2AgPtAu. The X-ray diffraction stick pattern is theoretical, not measured: it uses a DFT-relaxed cell (PBE, Alexandria) and CuKα.

a b c (Å): 5.2483 5.2483 5.2510
angles (deg): 90.00 90.00 90.00
Space group P4/mmm (No. 123)
Inequivalent atoms, fractional coordinates:
Tl  0.0000  0.5000  0.0000 (multiplicity 2)
Ag  0.0000  0.0000  0.5000 (multiplicity 1)
Pt  0.5000  0.5000  0.0000 (multiplicity 1)
Au  0.5000  0.5000  0.5000 (multiplicity 1)

Peak list (10 most intense, 2θ from 10° to 80°, by angle)
d [Å]	2θ/deg	I_rel	h k l
5.249	16.9	51	0 0 1
3.031	29.5	65	1 1 1
2.625	34.2	100	2 0 0
2.348	38.3	28	2 0 1
1.856	49.1	73	2 2 0
1.750	52.3	15	2 2 1
1.583	58.3	29	3 1 1
1.515	61.2	25	2 2 2
1.312	72.0	12	4 0 0
1.204	79.6	12	3 3 1

=====

(3)
Diffraction record for AlZnAu5. The X-ray diffraction stick pattern is theoretical, not measured: it uses a DFT-relaxed cell (PBE, Alexandria) and CuKα.

a b c (Å): 7.7717 12.1984 5.2134
angles (deg): 90.00 90.11 90.00
Space group C2/c (No. 15)
Inequivalent atoms, fractional coordinates:
Al  0.0000  0.0843  0.2500 (multiplicity 4)
Zn  0.0000  0.5000  0.0000 (multiplicity 4)
Au  0.0000  0.2942  0.2500 (multiplicity 4)
Au  0.1792  0.0935  0.7493 (multiplicity 8)
Au  0.1858  0.3370  0.7504 (multiplicity 8)

Peak list (10 most intense, 2θ from 10° to 80°, by angle)
d [Å]	2θ/deg	I_rel	h k l
2.964	30.2	31	1 3 1
2.632	34.1	23	0 4 1
2.607	34.4	60	0 0 2
2.399	37.5	32	2 4 0
2.328	38.7	26	1 5 0
2.279	39.5	100	3 1 1
2.181	41.4	34	2 4 -1
2.178	41.5	29	2 4 1
2.112	42.8	17	1 3 -2
1.463	63.6	19	0 8 1

=====

(4)
Diffraction record for PaTc2IO8. The X-ray diffraction stick pattern is theoretical, not measured: it uses a DFT-relaxed cell (PBE, Alexandria) and CuKα.

a b c (Å): 6.5311 6.5311 6.6941
angles (deg): 90.00 90.00 120.00
Space group P-3m1 (No. 164)
Inequivalent atoms, fractional coordinates:
Pa  0.0000  0.0000  0.0000 (multiplicity 1)
Tc  0.3333  0.6667  0.7809 (multiplicity 2)
I  0.0000  0.0000  0.5000 (multiplicity 1)
O  0.1841  0.3682  0.8755 (multiplicity 6)
O  0.3333  0.6667  0.5256 (multiplicity 2)

Peak list (10 most intense, 2θ from 10° to 80°, by angle)
d [Å]	2θ/deg	I_rel	h k l
6.694	13.2	18	0 0 1
5.656	15.7	65	1 0 0
4.320	20.6	68	1 0 1
3.266	27.3	100	1 1 0
2.880	31.0	89	1 0 2
2.160	41.8	38	2 0 2
1.885	48.3	20	3 0 0
1.802	50.7	45	2 1 2
1.489	62.3	18	1 1 4
1.420	65.7	21	1 3 2

=====

(5)
Diffraction record for Rb2Pd3S2. The X-ray diffraction stick pattern is theoretical, not measured: it uses a DFT-relaxed cell (PBE, Alexandria) and CuKα.

a b c (Å): 8.1836 10.6962 35.0860
angles (deg): 90.00 90.00 90.00
Space group Fddd (No. 70, origin choice 2)
Inequivalent atoms, fractional coordinates:
Rb  0.1082  0.3073  0.4251 (multiplicity 32)
Pd  0.0000  0.0000  0.0000 (multiplicity 16)
Pd  0.0928  0.0026  0.7359 (multiplicity 32)
S  0.0110  0.3587  0.1913 (multiplicity 32)

Peak list (10 most intense, 2θ from 10° to 80°, by angle)
d [Å]	2θ/deg	I_rel	h k l
8.772	10.1	100	0 0 4
3.976	22.4	10	2 0 2
2.924	30.6	12	0 0 12
2.738	32.7	8	1 3 7
2.663	33.6	17	2 0 10
2.636	34.0	17	3 1 1
2.578	34.8	13	3 1 3
2.558	35.1	13	0 4 4
2.283	39.5	15	0 4 8
1.888	48.2	9	3 1 13

=====

(6)
Diffraction record for TmMn6C3. The X-ray diffraction stick pattern is theoretical, not measured: it uses a DFT-relaxed cell (PBE, Alexandria) and CuKα.

a b c (Å): 5.1684 5.1684 13.7755
angles (deg): 90.00 90.00 120.00
Space group R3 (No. 146, hexagonal axes)
Inequivalent atoms, fractional coordinates:
Tm  0.0000  0.0000  0.0000 (multiplicity 3)
Mn  0.0041  0.4124  0.8679 (multiplicity 9)
Mn  0.1498  0.8129  0.3914 (multiplicity 9)
C  0.0000  0.0000  0.2941 (multiplicity 3)
C  0.0000  0.0000  0.6227 (multiplicity 3)
C  0.0000  0.0000  0.8284 (multiplicity 3)

Peak list (10 most intense, 2θ from 10° to 80°, by angle)
d [Å]	2θ/deg	I_rel	h k l
4.257	20.9	26	1 0 1
3.753	23.7	32	0 1 2
2.729	32.8	48	1 0 4
2.346	38.4	38	0 1 5
2.296	39.2	23	0 0 6
2.252	40.0	84	1 1 3
2.209	40.9	100	0 2 1
2.128	42.5	44	2 0 2
1.737	52.7	22	2 0 5
1.716	53.4	38	2 -1 6